This entry pairs a crystal structure of CsKTlPt with its computed powder diffractogram. Radiation: Cu Kα, 1.54184 Å. Structure: the PBE geometry in Alexandria.
Lines closer than 0.1° are merged.

Atomic structure:
Unit cell a=8.314 b=4.801 c=9.415 alpha=90.00 beta=90.09 gamma=90.00
Space group Cm (No. 8)
Asymmetric unit:
Cs 0.000 0.000 0.000 [2 per cell]
K 0.499 0.500 0.493 [2 per cell]
Tl 0.166 0.500 0.723 [2 per cell]
Pt 0.333 0.000 0.730 [2 per cell]

Peak list (10 most intense, 10° ≤ 2θ ≤ 90°, by intensity)
hkl  2θ/deg  I/Imax
1 1 2  28.65  100
1 1 1  23.39  64
3 1 0  37.47  58
3 1 -1  38.72  51
3 1 -4  54.61  37
3 1 3  47.70  37
0 0 3  28.44  25
4 0 2  47.84  24
4 2 2  62.29  22
0 0 2  18.85  18

This entry pairs a crystal structure of CsKTl4Pt2 with its computed powder diffractogram. Radiation: Cu Kα, 1.54184 Å. Structure: the PBE geometry in Alexandria.
Lines closer than 0.1° are merged.

Atomic structure:
Unit cell a=5.264 b=5.264 c=12.103 alpha=90.00 beta=90.00 gamma=90.00
Space group P4/mmm (No. 123)
Asymmetric unit:
Cs 0.000 0.000 0.000 [1 per cell]
K 0.000 0.000 0.500 [1 per cell]
Tl 0.000 0.500 0.265 [4 per cell]
Pt 0.500 0.500 0.262 [2 per cell]

Peak list (10 most intense, 10° ≤ 2θ ≤ 90°, by intensity)
hkl  2θ/deg  I/Imax
0 0 2  14.64  100
2 0 0  34.06  50
1 0 2  22.38  48
2 0 2  37.25  42
2 0 4  45.68  40
0 0 4  29.52  32
1 1 2  28.14  30
2 1 2  41.13  21
2 2 2  51.35  20
2 2 0  48.94  20